# AcPr4Bi5
Computed powder XRD pattern, Cu Kα, 1.54184 Å. Input: DFT lattice parameters and positions (PBE).
Intensities are scaled so that the largest is 100.

The 10 most intense peaks (2θ from 10° to 90°), sorted by position:
2θ = 23.22°, 3.831 Å, rel. 3; 2θ = 26.87°, 3.318 Å, rel. 100; 2θ = 38.37°, 2.346 Å, rel. 79; 2θ = 45.33°, 2.001 Å, rel. 2; 2θ = 47.47°, 1.915 Å, rel. 29; 2θ = 55.39°, 1.659 Å, rel. 14; 2θ = 62.61°, 1.484 Å, rel. 38; 2θ = 69.39°, 1.354 Å, rel. 28; 2θ = 82.18°, 1.173 Å, rel. 9; 2θ = 88.39°, 1.106 Å, rel. 19

Lattice parameters (Å, degrees): 12.408 12.408 12.408 158.20 148.97 38.24
Sites, in units of the cell vectors:
Ac  0.000  0.000  0.000
Pr  0.202  0.202  0.000
Pr  0.399  0.399  0.000
Pr  0.601  0.601  0.000
Pr  0.798  0.798  0.000
Bi  0.105  0.605  0.500
Bi  0.301  0.801  0.500
Bi  0.500  0.000  0.500
Bi  0.699  0.199  0.500
Bi  0.895  0.395  0.500